# 1
Nd2Re3B6: theoretical powder diffractogram (Cu Kα (weighted mean of Kα1 and Kα2)), based on a crystal structure in OQMD, relaxed with PBE.
No peak broadening, texture or thermal motion is included.

```
data_Nd2Re3B6
_space_group_name_H-M_alt 'C 1 2/c 1'
_space_group_IT_number 15
_space_group_name_Hall '-C 2yc'
_cell_length_a 6.8054
_cell_length_b 10.6302
_cell_length_c 7.5982
_cell_angle_alpha 90.00
_cell_angle_beta 90.96
_cell_angle_gamma 90.00
loop_
_atom_site_label
_atom_site_type_symbol
_atom_site_fract_x
_atom_site_fract_y
_atom_site_fract_z
Nd1 Nd 0.2330 0.1741 0.1743
Re1 Re 0.0000 0.0842 0.7500
Re2 Re 0.1027 0.4078 0.4123
B1 B 0.1043 0.0460 0.4662
B2 B 0.1271 0.2134 0.5200
B3 B 0.1983 0.4549 0.1321
```

Principal peaks in the range 2θ = 15–90°, in order of rising 2θ:
2θ = 28.4°, 3.146 Å, I 85, (1 1 2); 2θ = 31.2°, 2.865 Å, I 21, (2 2 0); 2θ = 33.3°, 2.694 Å, I 100, (2 2 -1); 2θ = 33.7°, 2.658 Å, I 18, (0 4 0); 2θ = 35.8°, 2.509 Å, I 59, (0 4 1); 2θ = 38.7°, 2.329 Å, I 36, (1 1 -3); 2θ = 42.6°, 2.120 Å, I 26, (3 1 1); 2θ = 46.2°, 1.964 Å, I 25, (1 3 3); 2θ = 49.4°, 1.846 Å, I 20, (3 3 1); 2θ = 64.0°, 1.456 Å, I 22, (2 6 -2)


# 2
Ni7B3: theoretical powder diffractogram (Cu Kα (weighted mean of Kα1 and Kα2)), based on a crystal structure in OQMD, relaxed with PBE.
No peak broadening, texture or thermal motion is included.

```
data_Ni7B3
_space_group_name_H-M_alt 'P 63 m c'
_space_group_IT_number 186
_space_group_name_Hall 'P 6c -2c'
_cell_length_a 6.9931
_cell_length_b 6.9931
_cell_length_c 4.3686
_cell_angle_alpha 90.00
_cell_angle_beta 90.00
_cell_angle_gamma 120.00
loop_
_atom_site_label
_atom_site_type_symbol
_atom_site_fract_x
_atom_site_fract_y
_atom_site_fract_z
Ni1 Ni 0.0876 0.5438 0.0000
Ni2 Ni 0.1237 0.2475 0.3084
Ni3 Ni 0.3333 0.6667 0.5038
B1 B 0.1888 0.3776 0.7296
```

Principal peaks in the range 2θ = 15–90°, in order of rising 2θ:
2θ = 36.1°, 2.489 Å, I 22, (2 0 1); 2θ = 39.4°, 2.289 Å, I 30, (2 1 0); 2θ = 44.1°, 2.055 Å, I 40, (1 0 2); 2θ = 44.7°, 2.028 Å, I 100, (2 1 1); 2θ = 49.8°, 1.833 Å, I 29, (3 0 1); 2θ = 51.6°, 1.771 Å, I 20, (2 0 2); 2θ = 52.3°, 1.748 Å, I 13, (2 2 0); 2θ = 81.5°, 1.181 Å, I 16, (3 0 3); 2θ = 82.2°, 1.172 Å, I 20, (3 2 2); 2θ = 82.7°, 1.167 Å, I 15, (5 0 1)


# 3
Sm2YNi2B2P3: theoretical powder diffractogram (Cu Kα (weighted mean of Kα1 and Kα2)), based on a crystal structure in OQMD, relaxed with PBE.
No peak broadening, texture or thermal motion is included.

```
data_Sm2YNi2B2P3
_space_group_name_H-M_alt 'I 4/m m m'
_space_group_IT_number 139
_space_group_name_Hall '-I 4 2'
_cell_length_a 3.9729
_cell_length_b 3.9729
_cell_length_c 21.4191
_cell_angle_alpha 90.00
_cell_angle_beta 90.00
_cell_angle_gamma 90.00
loop_
_atom_site_label
_atom_site_type_symbol
_atom_site_fract_x
_atom_site_fract_y
_atom_site_fract_z
Sm1 Sm 0.0000 0.0000 0.1381
Y1 Y 0.0000 0.0000 0.5000
Ni1 Ni 0.0000 0.5000 0.2500
B1 B 0.0000 0.0000 0.2811
P1 P 0.0000 0.0000 0.0000
P2 P 0.0000 0.0000 0.3718
```

Principal peaks in the range 2θ = 15–90°, in order of rising 2θ:
2θ = 25.7°, 3.472 Å, I 100, (1 0 3); 2θ = 31.9°, 2.809 Å, I 59, (1 1 0); 2θ = 33.0°, 2.717 Å, I 27, (1 1 2); 2θ = 33.5°, 2.677 Å, I 58, (0 0 8); 2θ = 36.1°, 2.488 Å, I 72, (1 1 4); 2θ = 40.9°, 2.208 Å, I 67, (1 1 6); 2θ = 45.7°, 1.986 Å, I 61, (2 0 0); 2θ = 53.1°, 1.724 Å, I 29, (2 1 3); 2θ = 57.8°, 1.595 Å, I 46, (2 0 8); 2θ = 70.0°, 1.344 Å, I 28, (1 1 14)


# 4
TbYNi2B2P2: theoretical powder diffractogram (Cu Kα (weighted mean of Kα1 and Kα2)), based on a crystal structure in OQMD, relaxed with PBE.
No peak broadening, texture or thermal motion is included.

```
data_TbYNi2B2P2
_space_group_name_H-M_alt 'P 4 m m'
_space_group_IT_number 99
_space_group_name_Hall 'P 4 -2'
_cell_length_a 3.9099
_cell_length_b 3.9099
_cell_length_c 7.8680
_cell_angle_alpha 90.00
_cell_angle_beta 90.00
_cell_angle_gamma 90.00
loop_
_atom_site_label
_atom_site_type_symbol
_atom_site_fract_x
_atom_site_fract_y
_atom_site_fract_z
Tb1 Tb 0.0000 0.0000 0.0000
Y1 Y 0.5000 0.5000 0.4090
Ni1 Ni 0.0000 0.5000 0.7054
B1 B 0.0000 0.0000 0.6121
B2 B 0.5000 0.5000 0.8007
P1 P 0.0000 0.0000 0.3635
P2 P 0.5000 0.5000 0.0488
```

Principal peaks in the range 2θ = 15–90°, in order of rising 2θ:
2θ = 25.4°, 3.501 Å, I 78, (1 0 1); 2θ = 32.4°, 2.765 Å, I 26, (1 1 0); 2θ = 34.2°, 2.623 Å, I 42, (0 0 3); 2θ = 34.4°, 2.608 Å, I 62, (1 1 1); 2θ = 39.9°, 2.262 Å, I 100, (1 1 2); 2θ = 41.5°, 2.178 Å, I 26, (1 0 3); 2θ = 46.4°, 1.955 Å, I 51, (2 0 0); 2θ = 58.9°, 1.567 Å, I 33, (2 0 3); 2θ = 68.6°, 1.368 Å, I 24, (1 1 5); 2θ = 81.6°, 1.180 Å, I 23, (3 1 2)


# 5
PrNiB4: theoretical powder diffractogram (Cu Kα (weighted mean of Kα1 and Kα2)), based on a crystal structure in OQMD, relaxed with PBE.
No peak broadening, texture or thermal motion is included.

```
data_PrNiB4
_space_group_name_H-M_alt 'I 4/m m m'
_space_group_IT_number 139
_space_group_name_Hall '-I 4 2'
_cell_length_a 7.7107
_cell_length_b 7.7107
_cell_length_c 8.6650
_cell_angle_alpha 90.00
_cell_angle_beta 90.00
_cell_angle_gamma 90.00
loop_
_atom_site_label
_atom_site_type_symbol
_atom_site_fract_x
_atom_site_fract_y
_atom_site_fract_z
Pr1 Pr 0.0000 0.0000 0.2055
Pr2 Pr 0.0000 0.5000 0.2500
Ni1 Ni 0.0000 0.2277 0.5000
B1 B 0.1125 0.2760 0.0000
B2 B 0.2356 0.2356 0.3484
```

Principal peaks in the range 2θ = 15–90°, in order of rising 2θ:
2θ = 23.1°, 3.855 Å, I 66, (2 0 0); 2θ = 27.8°, 3.204 Å, I 20, (2 1 1); 2θ = 31.1°, 2.880 Å, I 79, (2 0 2); 2θ = 32.9°, 2.726 Å, I 17, (2 2 0); 2θ = 33.1°, 2.705 Å, I 27, (1 0 3); 2θ = 39.0°, 2.307 Å, I 100, (2 2 2); 2θ = 47.1°, 1.928 Å, I 33, (4 0 0); 2θ = 53.1°, 1.724 Å, I 18, (4 2 0); 2θ = 57.5°, 1.602 Å, I 25, (4 2 2); 2θ = 82.1°, 1.174 Å, I 19, (6 2 2)


# 6
PrSmNi2B2Pt6: theoretical powder diffractogram (Cu Kα (weighted mean of Kα1 and Kα2)), based on a crystal structure in OQMD, relaxed with PBE.
No peak broadening, texture or thermal motion is included.

```
data_PrSmNi2B2Pt6
_space_group_name_H-M_alt 'P 6/m m m'
_space_group_IT_number 191
_space_group_name_Hall '-P 6 2'
_cell_length_a 5.4613
_cell_length_b 5.4613
_cell_length_c 7.3690
_cell_angle_alpha 90.00
_cell_angle_beta 90.00
_cell_angle_gamma 120.00
loop_
_atom_site_label
_atom_site_type_symbol
_atom_site_fract_x
_atom_site_fract_y
_atom_site_fract_z
Pr1 Pr 0.0000 0.0000 0.0000
Sm1 Sm 0.0000 0.0000 0.5000
Ni1 Ni 0.3333 0.6667 0.0000
B1 B 0.3333 0.6667 0.5000
Pt1 Pt 0.0000 0.5000 0.2892
```

Principal peaks in the range 2θ = 15–90°, in order of rising 2θ:
2θ = 24.2°, 3.684 Å, I 18, (0 0 2); 2θ = 30.8°, 2.907 Å, I 58, (1 0 2); 2θ = 38.1°, 2.365 Å, I 100, (2 0 0); 2θ = 41.1°, 2.194 Å, I 51, (1 1 2); 2θ = 45.6°, 1.990 Å, I 41, (2 0 2); 2θ = 53.8°, 1.704 Å, I 20, (2 0 3); 2θ = 57.3°, 1.608 Å, I 21, (2 1 2); 2θ = 64.1°, 1.453 Å, I 17, (2 0 4); 2θ = 68.8°, 1.365 Å, I 24, (2 2 0); 2θ = 76.1°, 1.251 Å, I 19, (2 0 5)


# 7
PrSmNi6B2Pt2: theoretical powder diffractogram (Cu Kα (weighted mean of Kα1 and Kα2)), based on a crystal structure in OQMD, relaxed with PBE.
No peak broadening, texture or thermal motion is included.

```
data_PrSmNi6B2Pt2
_space_group_name_H-M_alt 'P 6/m m m'
_space_group_IT_number 191
_space_group_name_Hall '-P 6 2'
_cell_length_a 5.1721
_cell_length_b 5.1721
_cell_length_c 7.1723
_cell_angle_alpha 90.00
_cell_angle_beta 90.00
_cell_angle_gamma 120.00
loop_
_atom_site_label
_atom_site_type_symbol
_atom_site_fract_x
_atom_site_fract_y
_atom_site_fract_z
Pr1 Pr 0.0000 0.0000 0.0000
Sm1 Sm 0.0000 0.0000 0.5000
Ni1 Ni 0.0000 0.5000 0.1954
B1 B 0.3333 0.6667 0.0000
Pt1 Pt 0.3333 0.6667 0.5000
```

Principal peaks in the range 2θ = 15–90°, in order of rising 2θ:
2θ = 24.8°, 3.586 Å, I 17, (0 0 2); 2θ = 34.7°, 2.586 Å, I 46, (1 1 0); 2θ = 37.0°, 2.433 Å, I 43, (1 1 1); 2θ = 37.6°, 2.391 Å, I 20, (0 0 3); 2θ = 40.3°, 2.240 Å, I 23, (2 0 0); 2θ = 42.3°, 2.138 Å, I 16, (2 0 1); 2θ = 43.1°, 2.098 Å, I 100, (1 1 2); 2θ = 63.1°, 1.474 Å, I 23, (1 1 4); 2θ = 68.0°, 1.378 Å, I 26, (3 0 2); 2θ = 73.2°, 1.293 Å, I 19, (2 2 0)


# 8
PrSmNi8B2: theoretical powder diffractogram (Cu Kα (weighted mean of Kα1 and Kα2)), based on a crystal structure in OQMD, relaxed with PBE.
No peak broadening, texture or thermal motion is included.

```
data_PrSmNi8B2
_space_group_name_H-M_alt 'P 6/m m m'
_space_group_IT_number 191
_space_group_name_Hall '-P 6 2'
_cell_length_a 5.0700
_cell_length_b 5.0700
_cell_length_c 7.0070
_cell_angle_alpha 90.00
_cell_angle_beta 90.00
_cell_angle_gamma 120.00
loop_
_atom_site_label
_atom_site_type_symbol
_atom_site_fract_x
_atom_site_fract_y
_atom_site_fract_z
Pr1 Pr 0.0000 0.0000 0.0000
Sm1 Sm 0.0000 0.0000 0.5000
Ni1 Ni 0.0000 0.5000 0.2948
Ni2 Ni 0.3333 0.6667 0.0000
B1 B 0.3333 0.6667 0.5000
```

Principal peaks in the range 2θ = 15–90°, in order of rising 2θ:
2θ = 32.7°, 2.739 Å, I 83, (1 0 2); 2θ = 35.4°, 2.535 Å, I 29, (1 1 0); 2θ = 38.5°, 2.336 Å, I 13, (0 0 3); 2θ = 41.1°, 2.195 Å, I 76, (2 0 0); 2θ = 44.1°, 2.054 Å, I 100, (1 1 2); 2θ = 61.9°, 1.500 Å, I 27, (2 1 2); 2θ = 64.7°, 1.441 Å, I 15, (1 1 4); 2θ = 68.5°, 1.369 Å, I 13, (2 0 4); 2θ = 69.6°, 1.350 Å, I 24, (3 0 2); 2θ = 74.9°, 1.268 Å, I 22, (2 2 0)


# 9
PrSmNi8B2: theoretical powder diffractogram (Cu Kα (weighted mean of Kα1 and Kα2)), based on a crystal structure in OQMD, relaxed with PBE.
No peak broadening, texture or thermal motion is included.

```
data_PrSmNi8B2
_space_group_name_H-M_alt 'P 6/m m m'
_space_group_IT_number 191
_space_group_name_Hall '-P 6 2'
_cell_length_a 5.0506
_cell_length_b 5.0506
_cell_length_c 7.0040
_cell_angle_alpha 90.00
_cell_angle_beta 90.00
_cell_angle_gamma 120.00
loop_
_atom_site_label
_atom_site_type_symbol
_atom_site_fract_x
_atom_site_fract_y
_atom_site_fract_z
Pr1 Pr 0.0000 0.0000 0.0000
Sm1 Sm 0.0000 0.0000 0.5000
Ni1 Ni 0.0000 0.5000 0.2934
Ni2 Ni 0.3333 0.6667 0.0000
B1 B 0.3333 0.6667 0.5000
```

Principal peaks in the range 2θ = 15–90°, in order of rising 2θ:
2θ = 32.8°, 2.734 Å, I 84, (1 0 2); 2θ = 35.6°, 2.525 Å, I 29, (1 1 0); 2θ = 38.6°, 2.335 Å, I 13, (0 0 3); 2θ = 41.3°, 2.187 Å, I 76, (2 0 0); 2θ = 44.2°, 2.048 Å, I 100, (1 1 2); 2θ = 62.1°, 1.495 Å, I 27, (2 1 2); 2θ = 64.8°, 1.439 Å, I 15, (1 1 4); 2θ = 68.7°, 1.367 Å, I 14, (2 0 4); 2θ = 69.9°, 1.346 Å, I 24, (3 0 2); 2θ = 75.3°, 1.263 Å, I 22, (2 2 0)


# 10
PrSmNi8B2: theoretical powder diffractogram (Cu Kα (weighted mean of Kα1 and Kα2)), based on a crystal structure in OQMD, relaxed with PBE.
No peak broadening, texture or thermal motion is included.

```
data_PrSmNi8B2
_space_group_name_H-M_alt 'P 6/m m m'
_space_group_IT_number 191
_space_group_name_Hall '-P 6 2'
_cell_length_a 5.0895
_cell_length_b 5.0895
_cell_length_c 7.0122
_cell_angle_alpha 90.00
_cell_angle_beta 90.00
_cell_angle_gamma 120.00
loop_
_atom_site_label
_atom_site_type_symbol
_atom_site_fract_x
_atom_site_fract_y
_atom_site_fract_z
Pr1 Pr 0.0000 0.0000 0.0000
Sm1 Sm 0.0000 0.0000 0.5000
Ni1 Ni 0.0000 0.5000 0.2072
Ni2 Ni 0.3333 0.6667 0.5000
B1 B 0.3333 0.6667 0.0000
```

Principal peaks in the range 2θ = 15–90°, in order of rising 2θ:
2θ = 32.6°, 2.744 Å, I 83, (1 0 2); 2θ = 35.3°, 2.545 Å, I 29, (1 1 0); 2θ = 38.5°, 2.337 Å, I 13, (0 0 3); 2θ = 41.0°, 2.204 Å, I 76, (2 0 0); 2θ = 44.0°, 2.059 Å, I 100, (1 1 2); 2θ = 61.6°, 1.505 Å, I 27, (2 1 2); 2θ = 64.6°, 1.444 Å, I 15, (1 1 4); 2θ = 68.4°, 1.372 Å, I 14, (2 0 4); 2θ = 69.3°, 1.355 Å, I 28, (3 0 2); 2θ = 74.6°, 1.272 Å, I 22, (2 2 0)


# 11
PrYNi8B2: theoretical powder diffractogram (Cu Kα (weighted mean of Kα1 and Kα2)), based on a crystal structure in OQMD, relaxed with PBE.
No peak broadening, texture or thermal motion is included.

```
data_PrYNi8B2
_space_group_name_H-M_alt 'P 6/m m m'
_space_group_IT_number 191
_space_group_name_Hall '-P 6 2'
_cell_length_a 5.0290
_cell_length_b 5.0290
_cell_length_c 7.0077
_cell_angle_alpha 90.00
_cell_angle_beta 90.00
_cell_angle_gamma 120.00
loop_
_atom_site_label
_atom_site_type_symbol
_atom_site_fract_x
_atom_site_fract_y
_atom_site_fract_z
Pr1 Pr 0.0000 0.0000 0.0000
Y1 Y 0.0000 0.0000 0.5000
Ni1 Ni 0.0000 0.5000 0.2959
Ni2 Ni 0.3333 0.6667 0.0000
B1 B 0.3333 0.6667 0.5000
```

Principal peaks in the range 2θ = 15–90°, in order of rising 2θ:
2θ = 32.8°, 2.730 Å, I 71, (1 0 2); 2θ = 35.7°, 2.514 Å, I 24, (1 1 0); 2θ = 38.0°, 2.367 Å, I 27, (1 1 1); 2θ = 38.5°, 2.336 Å, I 23, (0 0 3); 2θ = 41.5°, 2.178 Å, I 78, (2 0 0); 2θ = 44.3°, 2.043 Å, I 100, (1 1 2); 2θ = 57.9°, 1.593 Å, I 16, (2 0 3); 2θ = 62.3°, 1.490 Å, I 22, (2 1 2); 2θ = 70.2°, 1.341 Å, I 24, (3 0 2); 2θ = 75.6°, 1.257 Å, I 23, (2 2 0)


# 12
ReNiBPt: theoretical powder diffractogram (Cu Kα (weighted mean of Kα1 and Kα2)), based on a crystal structure in OQMD, relaxed with PBE.
No peak broadening, texture or thermal motion is included.

```
data_ReNiBPt
_space_group_name_H-M_alt 'F -4 3 m'
_space_group_IT_number 216
_space_group_name_Hall 'F -4 2 3'
_cell_length_a 5.7362
_cell_length_b 5.7362
_cell_length_c 5.7362
_cell_angle_alpha 90.00
_cell_angle_beta 90.00
_cell_angle_gamma 90.00
loop_
_atom_site_label
_atom_site_type_symbol
_atom_site_fract_x
_atom_site_fract_y
_atom_site_fract_z
Re1 Re 0.0000 0.0000 0.0000
Ni1 Ni 0.2500 0.2500 0.7500
B1 B 0.2500 0.2500 0.2500
Pt1 Pt 0.0000 0.0000 0.5000
```

Principal peaks in the range 2θ = 15–90°, in order of rising 2θ:
2θ = 26.9°, 3.312 Å, I 4, (1 1 1); 2θ = 31.2°, 2.868 Å, I 60, (2 0 0); 2θ = 44.7°, 2.028 Å, I 100, (2 2 0); 2θ = 52.9°, 1.730 Å, I 2, (3 1 1); 2θ = 55.5°, 1.656 Å, I 17, (2 2 2); 2θ = 65.0°, 1.434 Å, I 16, (4 0 0); 2θ = 71.7°, 1.316 Å, I 1, (3 3 1); 2θ = 73.9°, 1.283 Å, I 22, (4 2 0); 2θ = 82.4°, 1.171 Å, I 34, (4 2 2); 2θ = 88.6°, 1.104 Å, I 1, (5 1 1)